Simulated X-ray diffraction stick pattern of Na3B5C for Cu Kα, 1.54184 Å, from a cell relaxed with GGA-PBE.
No peak broadening, texture or thermal motion is included.

Crystal structure
Cell lengths 5.1195, 5.1195, 25.8244 Å; angles 90.00, 90.00, 120.00 degrees
Space group R32 (No. 155, hexagonal axes)
Inequivalent atoms, fractional coordinates:
1 Na 0.0001 0.3345 0.0819 x18
2 B 0.0000 0.0000 0.0000 x3
3 B 0.0000 0.0000 0.1665 x6
4 B 0.0000 0.0000 0.5000 x3
5 B 0.0000 0.6512 0.0000 x9
6 B 0.0002 0.6667 0.1667 x9
7 C 0.0000 0.0000 0.3333 x6

Top 10 peaks for 10 to 90 degrees two-theta, most intense first:
- (1 1 6), 41.02°, rel. 1000
- (0 0 12), 41.98°, rel. 238
- (1 1 0), 35.06°, rel. 195
- (3 0 0), 62.89°, rel. 178
- (3 0 12), 78.51°, rel. 171
- (1 1 18), 76.05°, rel. 122
- (2 2 6), 77.87°, rel. 114
- (1 1 12), 55.81°, rel. 104
- (2 2 0), 74.08°, rel. 19
- (2 2 12), 88.99°, rel. 19